No. 1
Theoretical XRD peak list of PmMg3 for Cu Kα, 1.54184 Å, from a crystal structure in the Materials Project, relaxed with GGA-PBE.
Kinematic intensities with the Lorentz-polarization factor, no thermal factor.

Crystal structure
Unit cell a=7.392 b=7.392 c=7.392 alpha=90.00 beta=90.00 gamma=90.00
Sites, in units of the cell vectors:
Pm 0.000 0.000 0.000
Pm 0.000 0.500 0.500
Pm 0.500 0.000 0.500
Pm 0.500 0.500 0.000
Mg 0.000 0.000 0.500
Mg 0.000 0.500 0.000
Mg 0.250 0.250 0.250
Mg 0.250 0.250 0.750
Mg 0.250 0.750 0.250
Mg 0.250 0.750 0.750
Mg 0.500 0.000 0.000
Mg 0.500 0.500 0.500
Mg 0.750 0.250 0.250
Mg 0.750 0.250 0.750
Mg 0.750 0.750 0.250
Mg 0.750 0.750 0.750

Top 10 peaks for 2θ from 10° to 80°, by intensity:
d/Å	two_theta	I/Imax
2.613	34.31	100
4.268	20.81	68
2.229	40.47	37
1.509	61.45	36
3.696	24.08	36
1.848	49.31	18
1.696	54.08	16
1.653	55.60	15
1.423	65.63	12
1.249	76.19	12


No. 2
Theoretical XRD peak list of PmMg3 for Cu Kα, 1.54184 Å, from a crystal structure in the Materials Project, relaxed with GGA-PBE.
Kinematic intensities with the Lorentz-polarization factor, no thermal factor.

Crystal structure
Unit cell a=6.780 b=6.780 c=5.212 alpha=90.00 beta=90.00 gamma=120.00
Sites, in units of the cell vectors:
Pm 0.333 0.667 0.250
Pm 0.667 0.333 0.750
Mg 0.162 0.324 0.750
Mg 0.162 0.838 0.750
Mg 0.324 0.162 0.250
Mg 0.676 0.838 0.750
Mg 0.838 0.162 0.250
Mg 0.838 0.676 0.250

Top 10 peaks for 2θ from 10° to 80°, by intensity:
d/Å	two_theta	I/Imax
2.558	35.08	100
3.898	22.82	90
3.390	26.29	41
5.871	15.09	34
2.042	44.37	29
2.936	30.45	24
2.606	34.42	23
2.066	43.82	21
1.421	65.72	21
1.695	54.11	19


No. 3
Theoretical XRD peak list of Pm2Mg for Cu Kα, 1.54184 Å, from a crystal structure in the Materials Project, relaxed with GGA-PBE.
Kinematic intensities with the Lorentz-polarization factor, no thermal factor.

Crystal structure
Unit cell a=3.796 b=17.524 c=5.595 alpha=90.00 beta=90.00 gamma=90.00
Sites, in units of the cell vectors:
Pm 0.000 0.089 0.250
Pm 0.000 0.228 0.750
Pm 0.000 0.772 0.250
Pm 0.000 0.911 0.750
Pm 0.500 0.272 0.250
Pm 0.500 0.411 0.750
Pm 0.500 0.589 0.250
Pm 0.500 0.728 0.750
Mg 0.000 0.433 0.250
Mg 0.000 0.567 0.750
Mg 0.500 0.067 0.750
Mg 0.500 0.933 0.250

Top 10 peaks for 2θ from 10° to 80°, by intensity:
d/Å	two_theta	I/Imax
2.767	32.36	100
2.798	31.99	28
3.449	25.83	27
2.921	30.61	22
1.609	57.25	20
3.710	23.99	17
1.674	54.86	16
2.020	44.86	15
8.762	10.10	14
1.571	58.78	12


No. 4
Theoretical XRD peak list of Pm3Mg for Cu Kα, 1.54184 Å, from a crystal structure in the Materials Project, relaxed with GGA-PBE.
Kinematic intensities with the Lorentz-polarization factor, no thermal factor.

Crystal structure
Unit cell a=5.008 b=5.008 c=10.013 alpha=90.00 beta=90.00 gamma=90.00
Sites, in units of the cell vectors:
Pm 0.000 0.000 0.000
Pm 0.000 0.500 0.250
Pm 0.000 0.500 0.750
Pm 0.500 0.000 0.250
Pm 0.500 0.000 0.750
Pm 0.500 0.500 0.500
Mg 0.000 0.000 0.500
Mg 0.500 0.500 0.000

Top 10 peaks for 2θ from 10° to 80°, by intensity:
d/Å	two_theta	I/Imax
2.891	30.93	100
2.504	35.87	50
1.510	61.41	42
1.770	51.63	36
4.479	19.82	20
1.445	64.46	12
5.006	17.72	6
2.185	41.31	6
2.777	32.23	6
1.860	48.98	6


No. 5
Theoretical XRD peak list of Pm2Mg for Cu Kα, 1.54184 Å, from a crystal structure in the Materials Project, relaxed with GGA-PBE.
Kinematic intensities with the Lorentz-polarization factor, no thermal factor.

Crystal structure
Unit cell a=3.817 b=3.817 c=12.759 alpha=90.00 beta=90.00 gamma=90.00
Sites, in units of the cell vectors:
Pm 0.000 0.000 0.157
Pm 0.000 0.000 0.843
Pm 0.500 0.500 0.343
Pm 0.500 0.500 0.657
Mg 0.000 0.000 0.500
Mg 0.500 0.500 0.000

Top 10 peaks for 2θ from 10° to 80°, by intensity:
d/Å	two_theta	I/Imax
2.840	31.50	100
2.699	33.20	45
3.656	24.34	36
1.584	58.25	35
1.670	54.98	19
1.908	47.66	16
6.379	13.88	14
2.060	43.95	13
1.420	65.75	11
3.190	27.97	11


No. 6
Theoretical XRD peak list of Pm2Mg for Cu Kα, 1.54184 Å, from a crystal structure in the Materials Project, relaxed with GGA-PBE.
Kinematic intensities with the Lorentz-polarization factor, no thermal factor.

Crystal structure
Unit cell a=13.578 b=3.753 c=7.562 alpha=90.00 beta=105.99 gamma=90.00
Sites, in units of the cell vectors:
Pm 0.153 0.000 0.069
Pm 0.165 0.000 0.589
Pm 0.335 0.500 0.411
Pm 0.347 0.500 0.931
Pm 0.653 0.500 0.069
Pm 0.665 0.500 0.589
Pm 0.835 0.000 0.411
Pm 0.847 0.000 0.931
Mg 0.005 0.500 0.266
Mg 0.495 0.000 0.734
Mg 0.505 0.000 0.266
Mg 0.995 0.500 0.734

Top 10 peaks for 2θ from 10° to 80°, by intensity:
d/Å	two_theta	I/Imax
2.845	31.45	100
2.664	33.65	57
2.858	31.29	33
3.632	24.51	22
3.607	24.68	22
1.568	58.90	22
6.526	13.57	22
2.175	41.51	14
3.263	27.33	13
1.683	54.52	13


No. 7
Theoretical XRD peak list of Pm2MgS4 for Cu Kα, 1.54184 Å, from a crystal structure in the Materials Project, relaxed with GGA-PBE.
Kinematic intensities with the Lorentz-polarization factor, no thermal factor.

Crystal structure
Unit cell a=12.892 b=3.945 c=13.928 alpha=90.00 beta=90.00 gamma=90.00
Sites, in units of the cell vectors:
Pm 0.121 0.250 0.074
Pm 0.133 0.250 0.707
Pm 0.367 0.750 0.207
Pm 0.379 0.750 0.574
Pm 0.621 0.250 0.426
Pm 0.633 0.250 0.793
Pm 0.867 0.750 0.293
Pm 0.879 0.750 0.926
Mg 0.107 0.750 0.462
Mg 0.393 0.250 0.962
Mg 0.607 0.750 0.038
Mg 0.893 0.250 0.538
S 0.002 0.750 0.614
S 0.025 0.250 0.885
S 0.229 0.250 0.245
S 0.231 0.250 0.516
S 0.269 0.750 0.016
S 0.271 0.750 0.745
S 0.475 0.750 0.385
S 0.498 0.250 0.114
S 0.502 0.750 0.886
S 0.525 0.250 0.615
S 0.729 0.250 0.255
S 0.731 0.250 0.984
S 0.769 0.750 0.484
S 0.771 0.750 0.755
S 0.975 0.750 0.115
S 0.998 0.250 0.386

Top 10 peaks for 2θ from 10° to 80°, by intensity:
d/Å	two_theta	I/Imax
3.365	26.49	100
3.767	23.62	89
6.127	14.46	86
2.682	33.41	55
2.198	41.06	48
2.845	31.45	30
3.006	29.72	30
2.241	40.25	29
1.972	46.02	26
1.977	45.90	25


No. 8
Theoretical XRD peak list of Pm2MgS4 for Cu Kα, 1.54184 Å, from a crystal structure in the Materials Project, relaxed with GGA-PBE.
Kinematic intensities with the Lorentz-polarization factor, no thermal factor.

Crystal structure
Unit cell a=7.331 b=7.331 c=7.331 alpha=110.88 beta=110.88 gamma=106.68
Sites, in units of the cell vectors:
Pm 0.007 0.625 0.882
Pm 0.375 0.257 0.382
Pm 0.743 0.125 0.118
Pm 0.875 0.993 0.618
Mg 0.250 0.750 0.500
Mg 0.500 0.500 0.000
S 0.007 0.877 0.266
S 0.123 0.389 0.130
S 0.139 0.373 0.630
S 0.260 0.993 0.870
S 0.490 0.861 0.234
S 0.611 0.740 0.734
S 0.627 0.257 0.766
S 0.743 0.510 0.370

Top 10 peaks for 2θ from 10° to 80°, by intensity:
d/Å	two_theta	I/Imax
3.423	26.03	100
2.630	34.09	96
3.511	25.37	91
2.296	39.24	86
2.230	40.44	55
6.029	14.69	55
2.643	33.92	49
2.753	32.52	49
4.158	21.37	44
1.810	50.43	39


Question: Which formula does entry 2 have?
Answer: PmMg3